Structure and simulated powder diffractogram of PPdPtS2 (the PBE geometry in Alexandria; Cu Kα X-rays).
Peak positions follow from Bragg's law for the DFT cell and can differ from measured ones.

Largest 8 diffraction maxima, most intense first, 2θ from 10° to 90°:
2θ 27.18, d = 3.281 Å, rel. 100; 2θ 25.93, d = 3.436 Å, rel. 54; 2θ 37.00, d = 2.430 Å, rel. 48; 2θ 46.51, d = 1.953 Å, rel. 48; 2θ 56.05, d = 1.641 Å, rel. 28; 2θ 18.26, d = 4.859 Å, rel. 23; 2θ 48.77, d = 1.867 Å, rel. 20; 2θ 40.56, d = 2.224 Å, rel. 19

```
PPdPtS2
1.0
4.8595 0.0000 0.0000
0.0000 4.8595 0.0000
0.0000 0.0000 4.4489
P Pd Pt S
1 1 1 2
Direct
0.0000 0.0000 0.0000
0.5000 0.5000 0.0000
0.0000 0.0000 0.5000
0.0000 0.5000 0.5000
0.5000 0.0000 0.5000
```

Structure and simulated powder diffractogram of Pu2Ge7Pd12 (the PBE geometry in Alexandria; Cu Kα X-rays).
Peak positions follow from Bragg's law for the DFT cell and can differ from measured ones.

Largest 8 diffraction maxima, most intense first, 2θ from 10° to 90°:
2θ 35.27, d = 2.544 Å, rel. 100; 2θ 46.75, d = 1.943 Å, rel. 43; 2θ 68.25, d = 1.374 Å, rel. 16; 2θ 43.42, d = 2.084 Å, rel. 14; 2θ 34.92, d = 2.569 Å, rel. 10; 2θ 79.17, d = 1.210 Å, rel. 10; 2θ 50.48, d = 1.808 Å, rel. 9; 2θ 59.92, d = 1.544 Å, rel. 9

```
Pu2Ge7Pd12
1.0
10.2767 0.0000 0.0000
-5.1383 8.8999 0.0000
0.0000 0.0000 3.8898
Pu Ge Pd
2 7 12
Direct
0.0000 0.0000 0.0000
0.3333 0.6667 0.5000
0.0745 0.6170 0.0000
0.2562 0.0428 0.5000
0.3830 0.4575 0.0000
0.5425 0.9255 0.0000
0.6667 0.3333 0.0000
0.7866 0.7438 0.5000
0.9572 0.2134 0.5000
0.0504 0.7685 0.5000
0.1063 0.3922 0.0000
0.2315 0.2818 0.5000
0.2859 0.8937 0.0000
0.3932 0.2165 0.0000
0.5329 0.1037 0.5000
0.5708 0.4671 0.5000
0.6078 0.7141 0.0000
0.7182 0.9496 0.5000
0.7835 0.1767 0.0000
0.8233 0.6068 0.0000
0.8963 0.4292 0.5000
```

Structure and simulated powder diffractogram of V2Mo3W8 (the PBE geometry in Alexandria; Cu Kα X-rays).
Peak positions follow from Bragg's law for the DFT cell and can differ from measured ones.

Largest 8 diffraction maxima, most intense first, 2θ from 10° to 90°:
2θ 41.83, d = 2.159 Å, rel. 100; 2θ 39.35, d = 2.290 Å, rel. 67; 2θ 32.26, d = 2.775 Å, rel. 47; 2θ 40.38, d = 2.234 Å, rel. 43; 2θ 25.91, d = 3.439 Å, rel. 29; 2θ 73.07, d = 1.295 Å, rel. 19; 2θ 79.88, d = 1.201 Å, rel. 16; 2θ 44.18, d = 2.050 Å, rel. 16

```
V2Mo3W8
1.0
3.4885 -6.8779 0.0000
3.4885 6.8779 0.0000
0.0000 0.0000 4.5774
V Mo W
2 3 8
Direct
0.2219 0.7781 0.0000
0.7781 0.2219 0.0000
0.0000 0.0000 0.0000
0.2976 0.2976 0.5000
0.7024 0.7024 0.5000
0.1252 0.8748 0.5000
0.1789 0.4083 0.0000
0.3279 0.6721 0.5000
0.4083 0.1789 0.0000
0.5917 0.8211 0.0000
0.6721 0.3279 0.5000
0.8211 0.5917 0.0000
0.8748 0.1252 0.5000
```

Structure and simulated powder diffractogram of Sm4GaCo3 (the PBE geometry in Alexandria; Cu Kα X-rays).
Peak positions follow from Bragg's law for the DFT cell and can differ from measured ones.

Largest 8 diffraction maxima, most intense first, 2θ from 10° to 90°:
2θ 31.86, d = 2.809 Å, rel. 100; 2θ 33.67, d = 2.662 Å, rel. 60; 2θ 40.22, d = 2.242 Å, rel. 41; 2θ 27.32, d = 3.264 Å, rel. 41; 2θ 56.12, d = 1.639 Å, rel. 28; 2θ 43.51, d = 2.080 Å, rel. 25; 2θ 44.36, d = 2.042 Å, rel. 24; 2θ 40.55, d = 2.225 Å, rel. 20

```
Sm4GaCo3
1.0
4.0839 0.0000 0.0000
0.0000 4.1596 0.0000
0.0000 0.0000 10.5314
Sm Ga Co
4 1 3
Direct
0.0000 0.0000 0.0000
0.0000 0.5000 0.2786
0.5000 0.0000 0.4835
0.5000 0.5000 0.7727
0.0000 0.0000 0.6948
0.0000 0.5000 0.5665
0.5000 0.0000 0.1870
0.5000 0.5000 0.0912
```